# 1
# TbTiPd4
Theoretical PXRD pattern, CuKα. Input: a cell relaxed with PBE.
Neutral-atom scattering factors, no anomalous dispersion.

Crystal structure
```
TbTiPd4
1.0
2.063 -13.753 0.000
2.063 13.753 0.000
0.000 0.000 3.920
Tb Ti Pd
2 2 8
direct
0.197 0.803 0.000
0.803 0.197 0.000
0.438 0.562 0.500
0.562 0.438 0.500
0.000 0.000 0.500
0.119 0.881 0.500
0.290 0.710 0.500
0.378 0.622 0.000
0.500 0.500 0.000
0.622 0.378 0.000
0.710 0.290 0.500
0.881 0.119 0.500
```

The 10 most intense peaks (2θ = 15–90°), sorted by position:
2theta	d (Å)	I/Imax
31.7	2.827	16
32.6	2.751	25
33.0	2.714	17
35.6	2.525	52
39.1	2.303	100
43.5	2.081	17
43.9	2.063	31
46.3	1.960	26
65.7	1.421	18
66.5	1.406	18

# 2
# Ac2HoPt2I2
Theoretical PXRD pattern, CuKα. Input: a cell relaxed with PBE.
Neutral-atom scattering factors, no anomalous dispersion.

Crystal structure
```
Ac2HoPt2I2
1.0
-2.640 2.640 8.754
2.640 -2.640 8.754
2.640 2.640 -8.754
Ac Ho Pt I
2 1 2 2
direct
0.108 0.108 0.000
0.892 0.892 0.000
0.500 0.500 0.000
0.000 0.500 0.500
0.500 0.000 0.500
0.308 0.308 0.000
0.692 0.692 0.000
```

The 10 most intense peaks (2θ = 15–90°), sorted by position:
2theta	d (Å)	I/Imax
23.8	3.733	28
25.9	3.434	20
30.6	2.918	100
31.5	2.840	44
34.0	2.640	79
35.5	2.527	19
46.4	1.958	68
48.8	1.866	29
58.7	1.572	19
63.8	1.459	23

# 3
# PrHg3
Theoretical PXRD pattern, CuKα. Input: a cell relaxed with PBE.
Neutral-atom scattering factors, no anomalous dispersion.

Crystal structure
```
PrHg3
1.0
6.848 0.000 0.000
-3.424 5.930 0.000
0.000 0.000 5.082
Pr Hg
2 6
direct
0.333 0.667 0.250
0.667 0.333 0.750
0.162 0.325 0.750
0.162 0.838 0.750
0.325 0.162 0.250
0.675 0.838 0.750
0.838 0.162 0.250
0.838 0.675 0.250
```

The 10 most intense peaks (2θ = 15–90°), sorted by position:
2theta	d (Å)	I/Imax
30.1	2.965	25
35.0	2.561	100
35.3	2.541	22
47.1	1.930	15
53.5	1.712	20
63.2	1.471	18
65.6	1.423	16
65.8	1.420	22
87.4	1.116	8
89.6	1.094	15

# 4
# NaPm5Tl6
Theoretical PXRD pattern, CuKα. Input: a cell relaxed with PBE.
Neutral-atom scattering factors, no anomalous dispersion.

Crystal structure
```
NaPm5Tl6
1.0
2.719 -8.206 0.000
2.719 8.206 0.000
0.000 0.000 7.750
Na Pm Tl
1 5 6
direct
0.000 0.000 0.000
0.000 0.000 0.500
0.333 0.667 0.500
0.339 0.661 0.000
0.661 0.339 0.000
0.667 0.333 0.500
0.165 0.835 0.245
0.165 0.835 0.755
0.500 0.500 0.246
0.500 0.500 0.754
0.835 0.165 0.245
0.835 0.165 0.755
```

The 10 most intense peaks (2θ = 15–90°), sorted by position:
2theta	d (Å)	I/Imax
32.8	2.734	100
32.9	2.719	20
46.9	1.938	7
47.1	1.928	15
58.4	1.580	23
58.5	1.578	8
58.7	1.572	15
68.7	1.367	12
78.0	1.225	7
78.4	1.220	7

# 5
# K2NbF7
Theoretical PXRD pattern, CuKα. Input: a cell relaxed with PBE.
Neutral-atom scattering factors, no anomalous dispersion.

Crystal structure
```
K2NbF7
1.0
6.870 -3.487 0.000
6.870 3.487 0.000
-6.063 0.000 7.435
K Nb F
4 2 14
direct
0.112 0.262 0.279
0.262 0.112 0.779
0.738 0.888 0.221
0.888 0.738 0.721
0.381 0.619 0.250
0.619 0.381 0.750
0.089 0.911 0.250
0.169 0.550 0.250
0.235 0.569 0.990
0.276 0.495 0.642
0.431 0.765 0.510
0.450 0.831 0.250
0.495 0.276 0.142
0.505 0.724 0.858
0.550 0.169 0.750
0.569 0.235 0.490
0.724 0.505 0.358
0.765 0.431 0.010
0.831 0.450 0.750
0.911 0.089 0.750
```

The 10 most intense peaks (2θ = 15–90°), sorted by position:
2theta	d (Å)	I/Imax
15.2	5.834	79
15.7	5.633	69
18.6	4.779	43
23.6	3.776	65
23.9	3.717	100
24.6	3.615	87
28.3	3.159	82
40.1	2.250	32
43.9	2.065	35
44.9	2.020	28

# 6
# LaPa6Se8
Theoretical PXRD pattern, CuKα. Input: a cell relaxed with PBE.
Neutral-atom scattering factors, no anomalous dispersion.

Crystal structure
```
LaPa6Se8
1.0
4.350 2.511 5.772
-4.350 2.511 5.772
0.000 -5.022 5.772
La Pa Se
1 6 8
direct
0.000 0.000 0.000
0.070 0.704 0.444
0.296 0.556 0.930
0.444 0.070 0.704
0.556 0.930 0.296
0.704 0.444 0.070
0.930 0.296 0.556
0.100 0.385 0.800
0.200 0.900 0.615
0.333 0.333 0.333
0.385 0.800 0.100
0.615 0.200 0.900
0.667 0.667 0.667
0.800 0.100 0.385
0.900 0.615 0.200
```

The 10 most intense peaks (2θ = 15–90°), sorted by position:
2theta	d (Å)	I/Imax
20.4	4.350	39
25.6	3.474	74
31.0	2.886	28
35.8	2.511	100
37.4	2.405	82
44.6	2.034	25
48.0	1.894	32
52.7	1.737	23
65.3	1.428	19
76.1	1.251	18

# 7
# Ba3In2Bi5
Theoretical PXRD pattern, CuKα. Input: a cell relaxed with PBE.
Neutral-atom scattering factors, no anomalous dispersion.

Crystal structure
```
Ba3In2Bi5
1.0
-4.435 9.365 5.115
4.435 -9.365 5.115
4.435 9.365 -5.115
Ba In Bi
6 4 10
direct
0.158 0.614 0.772
0.250 0.250 0.000
0.342 0.114 0.457
0.658 0.886 0.543
0.750 0.750 0.000
0.842 0.386 0.228
0.131 0.020 0.150
0.369 0.520 0.889
0.631 0.480 0.111
0.869 0.980 0.850
0.029 0.286 0.315
0.037 0.250 0.787
0.250 0.750 0.500
0.463 0.250 0.213
0.471 0.786 0.257
0.529 0.214 0.743
0.537 0.750 0.787
0.750 0.250 0.500
0.963 0.750 0.213
0.971 0.714 0.685
```

The 10 most intense peaks (2θ = 15–90°), sorted by position:
2theta	d (Å)	I/Imax
17.4	5.106	31
20.0	4.435	27
23.2	3.838	29
25.8	3.454	35
26.6	3.351	49
31.3	2.861	26
32.9	2.725	100
35.1	2.558	52
39.4	2.289	20
49.3	1.849	26

# 8
# Sc4AlAg3
Theoretical PXRD pattern, CuKα. Input: a cell relaxed with PBE.
Neutral-atom scattering factors, no anomalous dispersion.

Crystal structure
```
Sc4AlAg3
1.0
3.411 0.000 0.000
0.000 3.411 0.000
0.000 0.000 13.798
Sc Al Ag
4 1 3
direct
0.000 0.000 0.124
0.000 0.000 0.374
0.000 0.000 0.626
0.000 0.000 0.876
0.500 0.500 0.000
0.500 0.500 0.246
0.500 0.500 0.500
0.500 0.500 0.754
```

The 10 most intense peaks (2θ = 15–90°), sorted by position:
2theta	d (Å)	I/Imax
25.8	3.449	7
26.1	3.411	14
37.1	2.425	100
37.3	2.412	49
45.9	1.977	6
53.1	1.725	8
53.7	1.705	18
66.7	1.403	16
67.1	1.395	31
78.9	1.213	10

# 9
# Tb7Pr3Tl2
Theoretical PXRD pattern, CuKα. Input: a cell relaxed with PBE.
Neutral-atom scattering factors, no anomalous dispersion.

Crystal structure
```
Tb7Pr3Tl2
1.0
5.755 0.000 0.000
0.000 3.649 0.000
-1.140 0.000 18.540
Tb Pr Tl
7 3 2
direct
0.000 0.000 0.000
0.179 0.500 0.168
0.258 0.500 0.540
0.324 0.000 0.849
0.676 0.000 0.151
0.742 0.500 0.460
0.821 0.500 0.832
0.224 0.000 0.364
0.500 0.500 0.000
0.776 0.000 0.636
0.292 0.500 0.708
0.708 0.500 0.292
```

The 10 most intense peaks (2θ = 15–90°), sorted by position:
2theta	d (Å)	I/Imax
28.9	3.089	31
29.5	3.031	18
30.3	2.952	31
30.9	2.895	100
31.2	2.868	88
32.0	2.793	61
33.8	2.652	36
34.4	2.605	47
50.0	1.824	33
60.1	1.539	20

# 10
# Ho2AlGe3Rh4
Theoretical PXRD pattern, CuKα. Input: a cell relaxed with PBE.
Neutral-atom scattering factors, no anomalous dispersion.

Crystal structure
```
Ho2AlGe3Rh4
1.0
4.135 0.000 0.000
0.000 4.135 0.000
0.000 0.000 10.367
Ho Al Ge Rh
2 1 3 4
direct
0.000 0.500 0.248
0.500 0.000 0.752
0.000 0.000 0.500
0.000 0.500 0.868
0.500 0.000 0.132
0.500 0.500 0.500
0.000 0.000 0.000
0.000 0.500 0.635
0.500 0.000 0.365
0.500 0.500 0.000
```

The 10 most intense peaks (2θ = 15–90°), sorted by position:
2theta	d (Å)	I/Imax
30.6	2.924	22
33.8	2.652	71
35.2	2.547	100
43.8	2.068	59
49.2	1.853	35
56.4	1.631	33
63.6	1.462	20
67.9	1.380	26
74.9	1.268	22
89.2	1.098	15

What did the fourth record say?
# NaPm5Tl6
Theoretical PXRD pattern, CuKα. Input: a cell relaxed with PBE.
Neutral-atom scattering factors, no anomalous dispersion.

Crystal structure
```
NaPm5Tl6
1.0
2.719 -8.206 0.000
2.719 8.206 0.000
0.000 0.000 7.750
Na Pm Tl
1 5 6
direct
0.000 0.000 0.000
0.000 0.000 0.500
0.333 0.667 0.500
0.339 0.661 0.000
0.661 0.339 0.000
0.667 0.333 0.500
0.165 0.835 0.245
0.165 0.835 0.755
0.500 0.500 0.246
0.500 0.500 0.754
0.835 0.165 0.245
0.835 0.165 0.755
```

The 10 most intense peaks (2θ = 15–90°), sorted by position:
2theta	d (Å)	I/Imax
32.8	2.734	100
32.9	2.719	20
46.9	1.938	7
47.1	1.928	15
58.4	1.580	23
58.5	1.578	8
58.7	1.572	15
68.7	1.367	12
78.0	1.225	7
78.4	1.220	7